Simulated XRD peak list of Sr2TbZrO6 for copper Kα, from the PBE geometry in the Materials Project.

Peak list (10 most intense, 10° ≤ 2θ ≤ 90°, sorted by position)
| 2θ (°) | d [Å] | I (rel.) | hkl |
| --- | --- | --- | --- |
| 17.98 | 4.934 | 5 | 1 1 1 |
| 20.79 | 4.273 | 8 | 2 0 0 |
| 29.57 | 3.021 | 100 | 2 2 0 |
| 34.82 | 2.577 | 4 | 3 1 1 |
| 42.30 | 2.136 | 29 | 4 0 0 |
| 52.46 | 1.744 | 46 | 4 2 2 |
| 61.37 | 1.511 | 17 | 4 4 0 |
| 69.58 | 1.351 | 18 | 6 2 0 |
| 77.37 | 1.233 | 5 | 4 4 4 |
| 84.92 | 1.142 | 23 | 6 2 4 |

Cell and atoms:
```
40
Lattice="8.5456 0.0000 0.0000 0.0000 8.5456 0.0000 0.0000 0.0000 8.5456" Properties=species:S:1:pos:R:3 pbc="T T T"
Sr 2.1364 2.1364 2.1364
Sr 2.1364 2.1364 6.4092
Sr 2.1364 6.4092 2.1364
Sr 2.1364 6.4092 6.4092
Sr 6.4092 2.1364 2.1364
Sr 6.4092 2.1364 6.4092
Sr 6.4092 6.4092 2.1364
Sr 6.4092 6.4092 6.4092
Tb 0.0000 0.0000 0.0000
Tb 0.0000 4.2728 4.2728
Tb 4.2728 0.0000 4.2728
Tb 4.2728 4.2728 0.0000
Zr 0.0000 0.0000 4.2728
Zr 0.0000 4.2728 0.0000
Zr 4.2728 0.0000 0.0000
Zr 4.2728 4.2728 4.2728
O 0.3072 4.6403 6.4813
O 0.3072 8.1781 6.3371
O 0.3675 2.0643 4.5800
O 0.3675 2.2085 8.2384
O 2.0643 4.5800 0.3675
O 2.0643 8.2384 3.9053
O 2.2085 4.5800 3.9053
O 2.2085 8.2384 0.3675
O 3.9053 2.0643 8.2384
O 3.9053 2.2085 4.5800
O 3.9656 4.6403 6.3371
O 3.9656 8.1781 6.4813
O 4.5800 0.3675 2.0643
O 4.5800 3.9053 2.2085
O 4.6403 6.3371 3.9656
O 4.6403 6.4813 0.3072
O 6.3371 0.3072 8.1781
O 6.3371 3.9656 4.6403
O 6.4813 0.3072 4.6403
O 6.4813 3.9656 8.1781
O 8.1781 6.3371 0.3072
O 8.1781 6.4813 3.9656
O 8.2384 0.3675 2.2085
O 8.2384 3.9053 2.0643
```